Entry 1:
# NpZn2CuO6
Theoretical powder XRD pattern, CuKα. Input: a structure optimized by DFT (PBE).
Kinematic intensities with the Lorentz-polarization factor, no thermal factor.

Top 10 peaks for 10 to 80 degrees two-theta, by angle:
| 2θ/deg | I (rel.) | (hkl) |
| --- | --- | --- |
| 18.75 | 51.2 | 1 1 0 |
| 19.46 | 17.9 | 2 0 0 |
| 21.01 | 38.6 | 2 0 -1 |
| 23.77 | 33.4 | 1 1 -1 |
| 29.50 | 97.4 | 1 1 1 |
| 32.28 | 100.0 | 0 2 0 |
| 39.19 | 23.0 | 1 1 -2 |
| 39.51 | 18.2 | 4 0 0 |
| 48.65 | 18.1 | 2 2 -2 |
| 51.95 | 25.1 | 4 2 0 |

Structure:
```
data_NpZn2CuO6
_chemical_formula_sum 'Np2 Zn4 Cu2 O12'
_cell_length_a 9.967
_cell_length_b 5.537
_cell_length_c 5.117
_cell_angle_alpha 90.00
_cell_angle_beta 113.75
_cell_angle_gamma 90.00
_space_group_name_H-M_alt 'C 1 2/m 1'
_space_group_IT_number 12
_space_group_name_Hall '-C 2y'
loop_
_atom_site_label
_atom_site_type_symbol
_atom_site_fract_x
_atom_site_fract_y
_atom_site_fract_z
Np1 Np 0.000 0.000 0.000
Zn1 Zn 0.239 0.000 0.634
Cu1 Cu 0.000 0.500 0.500
O1 O 0.097 0.261 0.347
O2 O 0.182 0.000 0.958
```

***

Entry 2:
# NpZnCu2O6
Theoretical powder XRD pattern, CuKα. Input: a structure optimized by DFT (PBE).
Kinematic intensities with the Lorentz-polarization factor, no thermal factor.

Top 10 peaks for 10 to 80 degrees two-theta, by angle:
| 2θ/deg | I (rel.) | (hkl) |
| --- | --- | --- |
| 17.73 | 46.9 | 2 0 0 |
| 19.88 | 34.1 | 1 1 -1 |
| 22.47 | 51.0 | 1 1 1 |
| 26.12 | 51.8 | 2 2 0 |
| 30.49 | 40.7 | 3 1 -1 |
| 32.93 | 23.3 | 2 2 1 |
| 33.78 | 100.0 | 1 3 -1 |
| 54.63 | 20.9 | 5 3 -1 |
| 59.38 | 32.1 | 1 3 -3 |
| 60.18 | 20.2 | 5 3 1 |

Structure:
```
data_NpZnCu2O6
_chemical_formula_sum 'Np4 Zn4 Cu8 O24'
_cell_length_a 10.175
_cell_length_b 9.331
_cell_length_c 5.396
_cell_angle_alpha 90.00
_cell_angle_beta 100.50
_cell_angle_gamma 90.00
_space_group_name_H-M_alt 'C 1 2/c 1'
_space_group_IT_number 15
_space_group_name_Hall '-C 2yc'
loop_
_atom_site_label
_atom_site_type_symbol
_atom_site_fract_x
_atom_site_fract_y
_atom_site_fract_z
Np1 Np 0.000 0.234 0.250
Zn1 Zn 0.000 0.415 0.750
Cu1 Cu 0.195 0.088 0.821
O1 O 0.107 0.243 0.596
O2 O 0.108 0.410 0.117
O3 O 0.127 0.086 0.134
```

***

Entry 3:
# PuNpCuOs
Theoretical powder XRD pattern, CuKα. Input: a structure optimized by DFT (PBE).
Kinematic intensities with the Lorentz-polarization factor, no thermal factor.

Top 10 peaks for 10 to 80 degrees two-theta, by angle:
| 2θ/deg | I (rel.) | (hkl) |
| --- | --- | --- |
| 23.92 | 12.9 | 1 1 1 |
| 27.69 | 3.5 | 2 0 0 |
| 39.57 | 100.0 | 2 2 0 |
| 46.77 | 7.1 | 3 1 1 |
| 48.98 | 1.0 | 2 2 2 |
| 57.20 | 17.3 | 4 0 0 |
| 62.88 | 3.1 | 3 3 1 |
| 64.71 | 1.4 | 4 2 0 |
| 71.78 | 35.5 | 4 2 2 |
| 76.90 | 2.4 | 5 1 1 |

Structure:
```
data_PuNpCuOs
_chemical_formula_sum 'Pu4 Np4 Cu4 Os4'
_cell_length_a 6.442
_cell_length_b 6.442
_cell_length_c 6.442
_cell_angle_alpha 90.00
_cell_angle_beta 90.00
_cell_angle_gamma 90.00
_space_group_name_H-M_alt 'F -4 3 m'
_space_group_IT_number 216
_space_group_name_Hall 'F -4 2 3'
loop_
_atom_site_label
_atom_site_type_symbol
_atom_site_fract_x
_atom_site_fract_y
_atom_site_fract_z
Pu1 Pu 0.000 0.000 0.000
Np1 Np 0.250 0.250 0.250
Cu1 Cu 0.250 0.250 0.750
Os1 Os 0.000 0.000 0.500
```

***

Entry 4:
# NpCu2P2
Theoretical powder XRD pattern, CuKα. Input: a structure optimized by DFT (PBE).
Kinematic intensities with the Lorentz-polarization factor, no thermal factor.

Top 10 peaks for 10 to 80 degrees two-theta, by angle:
| 2θ/deg | I (rel.) | (hkl) |
| --- | --- | --- |
| 25.44 | 34.3 | 0 2 1 |
| 26.90 | 38.6 | 1 3 0 |
| 28.80 | 20.9 | 0 4 1 |
| 34.76 | 19.0 | 1 1 1 |
| 36.62 | 16.9 | 1 7 0 |
| 39.01 | 19.2 | 0 10 0 |
| 39.71 | 20.3 | 0 8 1 |
| 39.82 | 100.0 | 1 5 1 |
| 49.64 | 30.6 | 2 0 0 |
| 64.87 | 17.0 | 2 10 0 |

Structure:
```
data_NpCu2P2
_chemical_formula_sum 'Np4 Cu8 P8'
_cell_length_a 3.673
_cell_length_b 23.091
_cell_length_c 3.674
_cell_angle_alpha 90.00
_cell_angle_beta 90.00
_cell_angle_gamma 90.00
_space_group_name_H-M_alt 'C m c m'
_space_group_IT_number 63
_space_group_name_Hall '-C 2c 2'
loop_
_atom_site_label
_atom_site_type_symbol
_atom_site_fract_x
_atom_site_fract_y
_atom_site_fract_z
Np1 Np 0.000 0.154 0.250
Cu1 Cu 0.000 0.040 0.750
Cu2 Cu 0.000 0.459 0.750
P1 P 0.000 0.250 0.750
P2 P 0.000 0.393 0.250
```

***

Entry 5:
# NpCu2P3
Theoretical powder XRD pattern, CuKα. Input: a structure optimized by DFT (PBE).
Kinematic intensities with the Lorentz-polarization factor, no thermal factor.

Top 10 peaks for 10 to 80 degrees two-theta, by angle:
| 2θ/deg | I (rel.) | (hkl) |
| --- | --- | --- |
| 16.37 | 79.5 | 0 2 0 |
| 19.21 | 32.7 | 1 1 0 |
| 27.77 | 67.7 | 0 2 1 |
| 29.58 | 100.0 | 1 1 1 |
| 30.32 | 34.4 | 1 3 0 |
| 35.14 | 47.6 | 2 0 0 |
| 40.26 | 57.2 | 0 4 1 |
| 45.40 | 58.3 | 0 0 2 |
| 45.49 | 24.5 | 1 5 0 |
| 54.49 | 49.1 | 2 4 1 |

Structure:
```
data_NpCu2P3
_chemical_formula_sum 'Np2 Cu4 P6'
_cell_length_a 5.108
_cell_length_b 10.829
_cell_length_c 3.990
_cell_angle_alpha 90.00
_cell_angle_beta 90.00
_cell_angle_gamma 90.00
_space_group_name_H-M_alt 'P m m n'
_space_group_IT_number 59
loop_
_space_group_symop_operation_xyz
'x,y,z'
'-x,-y,-z'
'-x+1/2,-y+1/2,z'
'x+1/2,y+1/2,-z'
'x+1/2,-y,-z'
'-x+1/2,y,z'
'-x,y+1/2,-z'
'x,-y+1/2,z'
loop_
_atom_site_label
_atom_site_type_symbol
_atom_site_fract_x
_atom_site_fract_y
_atom_site_fract_z
Np1 Np 0.250 0.250 0.004
Cu1 Cu 0.250 0.628 0.495
P1 P 0.250 0.085 0.504
P2 P 0.250 0.750 0.996
```

***

Entry 6:
# NpCu3P2
Theoretical powder XRD pattern, CuKα. Input: a structure optimized by DFT (PBE).
Kinematic intensities with the Lorentz-polarization factor, no thermal factor.

Top 10 peaks for 10 to 80 degrees two-theta, by angle:
| 2θ/deg | I (rel.) | (hkl) |
| --- | --- | --- |
| 12.81 | 84.4 | 0 1 1 |
| 25.24 | 56.2 | 1 0 1 |
| 26.18 | 61.3 | 1 1 0 |
| 32.13 | 61.1 | 0 3 1 |
| 32.81 | 100.0 | 1 2 1 |
| 39.69 | 83.1 | 1 2 3 |
| 40.33 | 46.3 | 0 1 5 |
| 40.92 | 89.9 | 1 1 4 |
| 42.80 | 37.9 | 1 3 2 |
| 49.16 | 35.8 | 2 0 0 |

Structure:
```
data_NpCu3P2
_chemical_formula_sum 'Np4 Cu12 P8'
_cell_length_a 3.706
_cell_length_b 8.611
_cell_length_c 11.579
_cell_angle_alpha 90.00
_cell_angle_beta 90.00
_cell_angle_gamma 90.00
_space_group_name_H-M_alt 'I m m m'
_space_group_IT_number 71
_space_group_name_Hall '-I 2 2'
loop_
_atom_site_label
_atom_site_type_symbol
_atom_site_fract_x
_atom_site_fract_y
_atom_site_fract_z
Np1 Np 0.000 0.000 0.117
Cu1 Cu 0.000 0.188 0.325
Cu2 Cu 0.000 0.358 0.000
P1 P 0.000 0.308 0.500
P2 P 0.000 0.500 0.193
```

***

Entry 7:
# NpCuPd
Theoretical powder XRD pattern, CuKα. Input: a structure optimized by DFT (PBE).
Kinematic intensities with the Lorentz-polarization factor, no thermal factor.

Top 10 peaks for 10 to 80 degrees two-theta, by angle:
| 2θ/deg | I (rel.) | (hkl) |
| --- | --- | --- |
| 22.08 | 40.2 | 1 0 0 |
| 38.28 | 100.0 | 1 0 1 |
| 38.74 | 78.0 | 1 1 0 |
| 45.04 | 6.8 | 2 0 0 |
| 55.60 | 34.2 | 2 0 1 |
| 60.88 | 5.9 | 2 1 0 |
| 64.31 | 5.8 | 0 0 2 |
| 69.82 | 34.7 | 2 1 1 |
| 70.13 | 13.5 | 3 0 0 |
| 77.67 | 20.4 | 1 1 2 |

Structure:
```
data_NpCuPd
_chemical_formula_sum 'Np1 Cu1 Pd1'
_cell_length_a 4.6485
_cell_length_b 4.6485
_cell_length_c 2.8971
_cell_angle_alpha 90.00
_cell_angle_beta 90.00
_cell_angle_gamma 120.00
_space_group_name_H-M_alt 'P -6 m 2'
_space_group_IT_number 187
_space_group_name_Hall 'P -6 2'
loop_
_atom_site_label
_atom_site_type_symbol
_atom_site_fract_x
_atom_site_fract_y
_atom_site_fract_z
Np1 Np 0.0000 0.0000 0.0000
Cu1 Cu 0.6667 0.3333 0.5000
Pd1 Pd 0.3333 0.6667 0.5000
```

***

Entry 8:
# RbNp4Cu3S12
Theoretical powder XRD pattern, CuKα. Input: a structure optimized by DFT (PBE).
Kinematic intensities with the Lorentz-polarization factor, no thermal factor.

Top 10 peaks for 10 to 80 degrees two-theta, by angle:
| 2θ/deg | I (rel.) | (hkl) |
| --- | --- | --- |
| 18.33 | 38.5 | 2 0 0 |
| 26.03 | 100.0 | 2 2 0 |
| 32.03 | 7.9 | 2 2 2 |
| 37.15 | 26.1 | 4 0 0 |
| 41.72 | 25.1 | 4 2 0 |
| 45.92 | 62.1 | 4 2 2 |
| 53.55 | 15.2 | 4 4 0 |
| 60.48 | 23.0 | 6 2 0 |
| 63.77 | 7.7 | 6 2 2 |
| 73.15 | 23.8 | 6 2 4 |

Structure:
```
data_RbNp4Cu3S12
_chemical_formula_sum 'Rb2 Np8 Cu6 S24'
_cell_length_a 9.681
_cell_length_b 9.681
_cell_length_c 9.681
_cell_angle_alpha 90.00
_cell_angle_beta 90.00
_cell_angle_gamma 90.00
_space_group_name_H-M_alt 'I m -3'
_space_group_IT_number 204
_space_group_name_Hall '-I 2 2 3'
loop_
_atom_site_label
_atom_site_type_symbol
_atom_site_fract_x
_atom_site_fract_y
_atom_site_fract_z
Rb1 Rb 0.000 0.000 0.000
Np1 Np 0.250 0.250 0.250
Cu1 Cu 0.000 0.000 0.500
S1 S 0.000 0.321 0.168
```

***

Entry 9:
# Rb3Np3CuSe8
Theoretical powder XRD pattern, CuKα. Input: a structure optimized by DFT (PBE).
Kinematic intensities with the Lorentz-polarization factor, no thermal factor.

Top 10 peaks for 10 to 80 degrees two-theta, by angle:
| 2θ/deg | I (rel.) | (hkl) |
| --- | --- | --- |
| 10.96 | 100.0 | 0 0 1 |
| 22.00 | 14.7 | 0 0 2 |
| 28.66 | 51.9 | 4 0 0 |
| 29.03 | 93.6 | 2 2 -2 |
| 36.04 | 32.2 | 2 2 -3 |
| 38.03 | 15.6 | 4 0 -4 |
| 39.34 | 33.4 | 2 2 2 |
| 43.09 | 33.7 | 6 2 -2 |
| 44.79 | 20.9 | 0 4 0 |
| 54.04 | 17.1 | 4 4 0 |

Structure:
```
data_Rb3Np3CuSe8
_chemical_formula_sum 'Rb6 Np6 Cu2 Se16'
_cell_length_a 14.734
_cell_length_b 8.095
_cell_length_c 9.552
_cell_angle_alpha 90.00
_cell_angle_beta 122.28
_cell_angle_gamma 90.00
_space_group_name_H-M_alt 'C 1 2/m 1'
_space_group_IT_number 12
_space_group_name_Hall '-C 2y'
loop_
_atom_site_label
_atom_site_type_symbol
_atom_site_fract_x
_atom_site_fract_y
_atom_site_fract_z
Rb1 Rb 0.000 0.000 0.000
Rb2 Rb 0.250 0.250 0.000
Np1 Np 0.000 0.500 0.500
Np2 Np 0.250 0.250 0.500
Cu1 Cu 0.000 0.000 0.500
Se1 Se 0.022 0.232 0.327
Se2 Se 0.232 0.500 0.697
Se3 Se 0.236 0.500 0.289
```

***

Entry 10:
# Rb2NpCuSe4
Theoretical powder XRD pattern, CuKα. Input: a structure optimized by DFT (PBE).
Kinematic intensities with the Lorentz-polarization factor, no thermal factor.

Top 10 peaks for 10 to 80 degrees two-theta, by angle:
| 2θ/deg | I (rel.) | (hkl) |
| --- | --- | --- |
| 11.22 | 100.0 | 1 1 0 |
| 22.55 | 26.3 | 2 2 0 |
| 22.98 | 55.3 | 0 0 2 |
| 27.10 | 15.5 | 2 2 -2 |
| 29.37 | 57.6 | 0 4 0 |
| 33.35 | 37.5 | 4 0 -2 |
| 37.04 | 35.9 | 2 2 2 |
| 37.61 | 28.8 | 0 4 2 |
| 45.02 | 30.1 | 4 4 -2 |
| 55.33 | 16.8 | 6 2 0 |

Structure:
```
data_Rb2NpCuSe4
_chemical_formula_sum 'Rb8 Np4 Cu4 Se16'
_cell_length_a 11.235
_cell_length_b 12.166
_cell_length_c 8.398
_cell_angle_alpha 90.00
_cell_angle_beta 112.82
_cell_angle_gamma 90.00
_space_group_name_H-M_alt 'C 1 2/c 1'
_space_group_IT_number 15
_space_group_name_Hall '-C 2yc'
loop_
_atom_site_label
_atom_site_type_symbol
_atom_site_fract_x
_atom_site_fract_y
_atom_site_fract_z
Rb1 Rb 0.000 0.000 0.000
Rb2 Rb 0.250 0.250 0.000
Np1 Np 0.000 0.500 0.000
Cu1 Cu 0.250 0.250 0.500
Se1 Se 0.058 0.273 0.540
Se2 Se 0.177 0.486 0.341
```

***

Entry 11:
# RbNpCu2Te4
Theoretical powder XRD pattern, CuKα. Input: a structure optimized by DFT (PBE).
Kinematic intensities with the Lorentz-polarization factor, no thermal factor.

Top 10 peaks for 10 to 80 degrees two-theta, by angle:
| 2θ/deg | I (rel.) | (hkl) |
| --- | --- | --- |
| 14.20 | 72.9 | 0 1 1 |
| 17.31 | 24.8 | 1 1 0 |
| 26.08 | 89.6 | 1 1 2 |
| 28.62 | 99.5 | 0 2 2 |
| 34.10 | 68.0 | 2 0 2 |
| 35.04 | 100.0 | 2 2 0 |
| 39.94 | 30.6 | 1 3 2 |
| 42.51 | 22.1 | 0 4 0 |
| 43.22 | 52.5 | 1 1 4 |
| 53.32 | 22.5 | 1 3 4 |

Structure:
```
data_RbNpCu2Te4
_chemical_formula_sum 'Rb2 Np2 Cu4 Te8'
_cell_length_a 6.416
_cell_length_b 8.505
_cell_length_c 9.174
_cell_angle_alpha 90.00
_cell_angle_beta 90.00
_cell_angle_gamma 90.00
_space_group_name_H-M_alt 'I 2 2 2'
_space_group_IT_number 23
_space_group_name_Hall 'I 2 2'
loop_
_atom_site_label
_atom_site_type_symbol
_atom_site_fract_x
_atom_site_fract_y
_atom_site_fract_z
Rb1 Rb 0.000 0.000 0.000
Np1 Np 0.000 0.000 0.500
Cu1 Cu 0.000 0.500 0.139
Te1 Te 0.232 0.216 0.291
```

***

Entry 12:
# NpCu3Rh4
Theoretical powder XRD pattern, CuKα. Input: a structure optimized by DFT (PBE).
Kinematic intensities with the Lorentz-polarization factor, no thermal factor.

Top 10 peaks for 10 to 80 degrees two-theta, by angle:
| 2θ/deg | I (rel.) | (hkl) |
| --- | --- | --- |
| 14.47 | 8.1 | 0 0 1 |
| 20.34 | 10.6 | 1 0 0 |
| 25.05 | 13.1 | 1 0 1 |
| 32.48 | 9.0 | 1 1 1 |
| 41.35 | 51.0 | 2 0 0 |
| 41.55 | 100.0 | 1 1 2 |
| 59.92 | 16.7 | 2 2 0 |
| 60.50 | 7.9 | 0 0 4 |
| 75.54 | 33.0 | 3 1 2 |
| 75.93 | 16.0 | 2 0 4 |

Structure:
```
data_NpCu3Rh4
_chemical_formula_sum 'Np1 Cu3 Rh4'
_cell_length_a 4.366
_cell_length_b 4.366
_cell_length_c 6.121
_cell_angle_alpha 90.00
_cell_angle_beta 90.00
_cell_angle_gamma 90.00
_space_group_name_H-M_alt 'P 4/m m m'
_space_group_IT_number 123
_space_group_name_Hall '-P 4 2'
loop_
_atom_site_label
_atom_site_type_symbol
_atom_site_fract_x
_atom_site_fract_y
_atom_site_fract_z
Np1 Np 0.000 0.000 0.000
Cu1 Cu 0.000 0.000 0.500
Cu2 Cu 0.500 0.500 0.000
Cu3 Cu 0.500 0.500 0.500
Rh1 Rh 0.000 0.500 0.259
```